# 1
Simulated powder diffraction line list of Sr2InBi2 for copper Kα, from DFT lattice parameters and positions (PBE).
Kinematic intensities with the Lorentz-polarization factor, no thermal factor.

Main lines, in order of rising 2θ (10 to 80 degrees two-theta):
- hkl 0 4 1, 3.831 Å, rel. 36.7
- hkl 0 0 2, 3.779 Å, rel. 68.7
- hkl 1 3 1, 3.553 Å, rel. 35.8
- hkl 1 5 0, 2.984 Å, rel. 100.0
- hkl 1 3 2, 2.756 Å, rel. 89.5
- hkl 2 0 0, 2.743 Å, rel. 68.9
- hkl 1 5 2, 2.342 Å, rel. 35.1
- hkl 2 0 2, 2.220 Å, rel. 38.1

Cell and atoms:
```
data_Sr2InBi2
_space_group_name_H-M_alt 'C m c 21'
_space_group_IT_number 36
_cell_length_a 5.486
_cell_length_b 17.778
_cell_length_c 7.557
_cell_angle_alpha 90.00
_cell_angle_beta 90.00
_cell_angle_gamma 90.00
loop_
_space_group_symop_operation_xyz
'x,y,z'
'-x,-y,z+1/2'
'-x,y,z'
'x,-y,z+1/2'
'x+1/2,y+1/2,z'
'-x+1/2,-y+1/2,z+1/2'
'-x+1/2,y+1/2,z'
'x+1/2,-y+1/2,z+1/2'
loop_
_atom_site_label
_atom_site_fract_x
_atom_site_fract_y
_atom_site_fract_z
_atom_site_occupancy
Sr1 0.000 0.010 0.000 1
Sr2 0.000 0.207 0.290 1
In1 0.000 0.400 0.177 1
Bi1 0.000 0.168 0.752 1
Bi2 0.000 0.426 0.763 1
```

=====

# 2
Simulated powder diffraction line list of AcTbPmTh for copper Kα, from DFT lattice parameters and positions (PBE).
Kinematic intensities with the Lorentz-polarization factor, no thermal factor.

Main lines, in order of rising 2θ (10 to 80 degrees two-theta):
- hkl 0 0 2, 5.234 Å, rel. 3.6
- hkl 1 0 2, 3.018 Å, rel. 100.0
- hkl 1 1 0, 2.613 Å, rel. 50.6
- hkl 2 0 0, 1.848 Å, rel. 35.5
- hkl 2 1 2, 1.576 Å, rel. 41.6
- hkl 2 0 4, 1.509 Å, rel. 11.8
- hkl 2 2 0, 1.306 Å, rel. 4.2
- hkl 2 1 6, 1.199 Å, rel. 9.7

Cell and atoms:
```
data_AcTbPmTh
_space_group_name_H-M_alt 'P 4 m m'
_space_group_IT_number 99
_cell_length_a 3.693
_cell_length_b 3.693
_cell_length_c 10.467
_cell_angle_alpha 90.00
_cell_angle_beta 90.00
_cell_angle_gamma 90.00
loop_
_space_group_symop_operation_xyz
'x,y,z'
'-y,x,z'
'-x,-y,z'
'y,-x,z'
'-x,y,z'
'y,x,z'
'x,-y,z'
'-y,-x,z'
loop_
_atom_site_label
_atom_site_fract_x
_atom_site_fract_y
_atom_site_fract_z
_atom_site_occupancy
Ac1 0.000 0.000 0.000 1
Tb1 0.500 0.500 0.268 1
Pm1 0.500 0.500 0.724 1
Th1 0.000 0.000 0.494 1
```

=====

# 3
Simulated powder diffraction line list of PmNd2Dy2Ho for copper Kα, from DFT lattice parameters and positions (PBE).
Kinematic intensities with the Lorentz-polarization factor, no thermal factor.

Main lines, in order of rising 2θ (10 to 80 degrees two-theta):
- hkl 0 1 3, 2.858 Å, rel. 100.0
- hkl 0 2 0, 2.849 Å, rel. 21.6
- hkl 2 2 0, 2.213 Å, rel. 8.5
- hkl 2 0 4, 2.020 Å, rel. 21.0
- hkl 0 0 6, 1.648 Å, rel. 26.4
- hkl 0 3 3, 1.646 Å, rel. 8.5
- hkl 4 2 0, 1.494 Å, rel. 18.4
- hkl 4 3 3, 1.201 Å, rel. 9.0

Cell and atoms:
```
data_PmNd2Dy2Ho
_space_group_name_H-M_alt 'P m m a'
_space_group_IT_number 51
_cell_length_a 7.018
_cell_length_b 5.699
_cell_length_c 9.890
_cell_angle_alpha 90.00
_cell_angle_beta 90.00
_cell_angle_gamma 90.00
loop_
_space_group_symop_operation_xyz
'x,y,z'
'-x,-y,-z'
'-x+1/2,-y,z'
'x+1/2,y,-z'
'x+1/2,-y,-z'
'-x+1/2,y,z'
'-x,y,-z'
'x,-y,z'
loop_
_atom_site_label
_atom_site_fract_x
_atom_site_fract_y
_atom_site_fract_z
_atom_site_occupancy
Pm1 0.000 0.000 0.000 1
Nd1 0.000 0.500 0.500 1
Nd2 0.250 0.000 0.330 1
Dy1 0.250 0.000 0.665 1
Dy2 0.250 0.500 0.167 1
Ho1 0.250 0.500 0.836 1
```

=====

# 4
Simulated powder diffraction line list of Tm3CdHg3 for copper Kα, from DFT lattice parameters and positions (PBE).
Kinematic intensities with the Lorentz-polarization factor, no thermal factor.

Main lines, in order of rising 2θ (10 to 80 degrees two-theta):
- hkl 1 2 0, 2.916 Å, rel. 25.4
- hkl 0 0 2, 2.585 Å, rel. 25.0
- hkl 1 2 1, 2.540 Å, rel. 100.0
- hkl 1 2 2, 1.935 Å, rel. 15.9
- hkl 4 1 0, 1.684 Å, rel. 16.2
- hkl 1 2 3, 1.484 Å, rel. 20.3
- hkl 4 1 2, 1.411 Å, rel. 18.1
- hkl 2 4 1, 1.403 Å, rel. 12.6

Cell and atoms:
```
data_Tm3CdHg3
_space_group_name_H-M_alt 'P 63/m'
_space_group_IT_number 176
_space_group_name_Hall '-P 6c'
_cell_length_a 8.9085
_cell_length_b 8.9085
_cell_length_c 5.1708
_cell_angle_alpha 90.00
_cell_angle_beta 90.00
_cell_angle_gamma 120.00
loop_
_atom_site_label
_atom_site_fract_x
_atom_site_fract_y
_atom_site_fract_z
_atom_site_occupancy
Tm1 0.1002 0.6510 0.2500 1
Cd1 0.3333 0.6667 0.7500 1
Hg1 0.0405 0.7903 0.7500 1
```

=====

# 5
Simulated powder diffraction line list of CrNiCl6 for copper Kα, from DFT lattice parameters and positions (PBE).
Kinematic intensities with the Lorentz-polarization factor, no thermal factor.

Main lines, in order of rising 2θ (10 to 80 degrees two-theta):
- hkl 1 1 0, 5.659 Å, rel. 100.0
- hkl 1 3 -1, 2.852 Å, rel. 18.2
- hkl 2 0 1, 2.839 Å, rel. 16.7
- hkl 1 3 -2, 2.174 Å, rel. 12.0
- hkl 2 0 2, 2.162 Å, rel. 12.0
- hkl 3 3 0, 1.886 Å, rel. 11.5
- hkl 3 5 0, 1.570 Å, rel. 7.6
- hkl 4 4 0, 1.415 Å, rel. 5.2

Cell and atoms:
```
data_CrNiCl6
_space_group_name_H-M_alt 'C 1 2/m 1'
_space_group_IT_number 12
_cell_length_a 6.534
_cell_length_b 11.321
_cell_length_c 5.795
_cell_angle_alpha 90.00
_cell_angle_beta 90.46
_cell_angle_gamma 90.00
loop_
_space_group_symop_operation_xyz
'x,y,z'
'-x,-y,-z'
'-x,y,-z'
'x,-y,z'
'x+1/2,y+1/2,z'
'-x+1/2,-y+1/2,-z'
'-x+1/2,y+1/2,-z'
'x+1/2,-y+1/2,z'
loop_
_atom_site_label
_atom_site_fract_x
_atom_site_fract_y
_atom_site_fract_z
_atom_site_occupancy
Cr1 0.000 0.000 0.000 1
Ni1 0.000 0.000 0.500 1
Cl1 0.139 0.139 0.252 1
Cl2 0.222 0.500 0.248 1
```

=====

# 6
Simulated powder diffraction line list of Dy2Ga5Pd4 for copper Kα, from DFT lattice parameters and positions (PBE).
Kinematic intensities with the Lorentz-polarization factor, no thermal factor.

Main lines, in order of rising 2θ (10 to 80 degrees two-theta):
- hkl 0 0 4, 4.155 Å, rel. 39.7
- hkl 0 2 4, 3.071 Å, rel. 30.2
- hkl 1 3 1, 2.612 Å, rel. 65.7
- hkl 1 3 3, 2.387 Å, rel. 97.8
- hkl 2 2 0, 2.315 Å, rel. 28.1
- hkl 2 0 4, 2.256 Å, rel. 100.0
- hkl 0 0 8, 2.078 Å, rel. 50.6
- hkl 1 3 5, 2.070 Å, rel. 52.5

Cell and atoms:
```
data_Dy2Ga5Pd4
_space_group_name_H-M_alt 'F m m m'
_space_group_IT_number 69
_space_group_name_Hall '-F 2 2'
_cell_length_a 5.374
_cell_length_b 9.116
_cell_length_c 16.621
_cell_angle_alpha 90.00
_cell_angle_beta 90.00
_cell_angle_gamma 90.00
loop_
_atom_site_label
_atom_site_fract_x
_atom_site_fract_y
_atom_site_fract_z
_atom_site_occupancy
Dy1 0.000 0.000 0.123 1
Ga1 0.000 0.000 0.500 1
Ga2 0.250 0.250 0.000 1
Ga3 0.250 0.250 0.250 1
Pd1 0.000 0.162 0.370 1
```

=====

# 7
Simulated powder diffraction line list of CePmAg for copper Kα, from DFT lattice parameters and positions (PBE).
Kinematic intensities with the Lorentz-polarization factor, no thermal factor.

Main lines, in order of rising 2θ (10 to 80 degrees two-theta):
- hkl 0 6 0, 2.841 Å, rel. 28.8
- hkl 0 0 2, 2.717 Å, rel. 28.4
- hkl 1 3 1, 2.620 Å, rel. 100.0
- hkl 0 6 2, 1.963 Å, rel. 19.6
- hkl 1 9 1, 1.594 Å, rel. 17.3
- hkl 1 3 3, 1.549 Å, rel. 19.7
- hkl 2 6 2, 1.310 Å, rel. 10.2
- hkl 0 6 4, 1.226 Å, rel. 11.3

Cell and atoms:
```
data_CePmAg
_space_group_name_H-M_alt 'C m c m'
_space_group_IT_number 63
_space_group_name_Hall '-C 2c 2'
_cell_length_a 3.517
_cell_length_b 17.044
_cell_length_c 5.433
_cell_angle_alpha 90.00
_cell_angle_beta 90.00
_cell_angle_gamma 90.00
loop_
_atom_site_label
_atom_site_fract_x
_atom_site_fract_y
_atom_site_fract_z
_atom_site_occupancy
Ce1 0.000 0.236 0.250 1
Pm1 0.000 0.079 0.750 1
Ag1 0.000 0.417 0.750 1
```

=====

# 8
Simulated powder diffraction line list of Cs12SeO3F4 for copper Kα, from DFT lattice parameters and positions (PBE).
Kinematic intensities with the Lorentz-polarization factor, no thermal factor.

Main lines, in order of rising 2θ (10 to 80 degrees two-theta):
- hkl 3 1 0, 3.508 Å, rel. 100.0
- hkl 2 2 2, 3.203 Å, rel. 18.6
- hkl 3 2 1, 2.965 Å, rel. 65.9
- hkl 5 0 3, 1.903 Å, rel. 41.6
- hkl 5 3 2, 1.800 Å, rel. 24.4
- hkl 6 3 1, 1.636 Å, rel. 17.6
- hkl 6 3 5, 1.326 Å, rel. 16.5
- hkl 6 6 0, 1.307 Å, rel. 16.8

Cell and atoms:
```
data_Cs12SeO3F4
_space_group_name_H-M_alt 'I m -3'
_space_group_IT_number 204
_space_group_name_Hall '-I 2 2 3'
_cell_length_a 11.094
_cell_length_b 11.094
_cell_length_c 11.094
_cell_angle_alpha 90.00
_cell_angle_beta 90.00
_cell_angle_gamma 90.00
loop_
_atom_site_label
_atom_site_fract_x
_atom_site_fract_y
_atom_site_fract_z
_atom_site_occupancy
Cs1 0.000 0.172 0.315 1
Se1 0.000 0.000 0.000 1
O1 0.000 0.000 0.500 1
F1 0.250 0.250 0.250 1
```

=====

# 9
Simulated powder diffraction line list of Sm5Tl2Os2 for copper Kα, from DFT lattice parameters and positions (PBE).
Kinematic intensities with the Lorentz-polarization factor, no thermal factor.

Main lines, in order of rising 2θ (10 to 80 degrees two-theta):
- hkl 3 1 2, 2.949 Å, rel. 56.3
- hkl 4 0 2, 2.853 Å, rel. 100.0
- hkl 4 2 0, 2.815 Å, rel. 83.2
- hkl 0 2 2, 2.728 Å, rel. 59.1
- hkl 4 2 1, 2.648 Å, rel. 73.5
- hkl 1 1 3, 2.438 Å, rel. 45.0
- hkl 5 1 2, 2.409 Å, rel. 45.7
- hkl 1 3 1, 2.391 Å, rel. 36.5

Cell and atoms:
```
data_Sm5Tl2Os2
_space_group_name_H-M_alt 'C m c e'
_space_group_IT_number 64
_space_group_name_Hall '-C 2ac 2'
_cell_length_a 16.710
_cell_length_b 7.619
_cell_length_c 7.815
_cell_angle_alpha 90.00
_cell_angle_beta 90.00
_cell_angle_gamma 90.00
loop_
_atom_site_label
_atom_site_fract_x
_atom_site_fract_y
_atom_site_fract_z
_atom_site_occupancy
Sm1 0.000 0.000 0.000 1
Sm2 0.118 0.181 0.320 1
Tl1 0.223 0.000 0.000 1
Os1 0.000 0.111 0.619 1
```

=====

# 10
Simulated powder diffraction line list of Nd8ErCd2 for copper Kα, from DFT lattice parameters and positions (PBE).
Kinematic intensities with the Lorentz-polarization factor, no thermal factor.

Main lines, in order of rising 2θ (10 to 80 degrees two-theta):
- hkl 0 4 1, 3.133 Å, rel. 54.6
- hkl 1 3 1, 3.080 Å, rel. 21.5
- hkl 3 1 -1, 2.912 Å, rel. 70.5
- hkl 2 4 0, 2.828 Å, rel. 100.0
- hkl 2 0 1, 2.773 Å, rel. 32.9
- hkl 1 5 -1, 2.712 Å, rel. 72.1
- hkl 4 0 -3, 1.717 Å, rel. 18.2
- hkl 3 9 -1, 1.491 Å, rel. 15.0

Cell and atoms:
```
data_Nd8ErCd2
_space_group_name_H-M_alt 'C 1 2/m 1'
_space_group_IT_number 12
_cell_length_a 8.978
_cell_length_b 15.528
_cell_length_c 5.768
_cell_angle_alpha 90.00
_cell_angle_beta 113.11
_cell_angle_gamma 90.00
loop_
_space_group_symop_operation_xyz
'x,y,z'
'-x,-y,-z'
'-x,y,-z'
'x,-y,z'
'x+1/2,y+1/2,z'
'-x+1/2,-y+1/2,-z'
'-x+1/2,y+1/2,-z'
'x+1/2,-y+1/2,z'
loop_
_atom_site_label
_atom_site_fract_x
_atom_site_fract_y
_atom_site_fract_z
_atom_site_occupancy
Nd1 0.000 0.220 0.000 1
Nd2 0.099 0.500 0.798 1
Nd3 0.205 0.111 0.611 1
Er1 0.000 0.000 0.000 1
Cd1 0.000 0.306 0.500 1
```

=====

# 11
Simulated powder diffraction line list of Pm3Dy6Y2 for copper Kα, from DFT lattice parameters and positions (PBE).
Kinematic intensities with the Lorentz-polarization factor, no thermal factor.

Main lines, in order of rising 2θ (10 to 80 degrees two-theta):
- hkl 0 2 1, 2.926 Å, rel. 100.0
- hkl 1 2 -2, 2.915 Å, rel. 99.1
- hkl 2 1 0, 2.532 Å, rel. 67.3
- hkl 1 -3 1, 2.522 Å, rel. 33.3
- hkl 3 -2 1, 1.789 Å, rel. 23.9
- hkl 3 1 -3, 1.785 Å, rel. 35.6
- hkl 4 0 -1, 1.524 Å, rel. 35.3
- hkl 3 -4 0, 1.521 Å, rel. 21.0

Cell and atoms:
```
data_Pm3Dy6Y2
_space_group_name_H-M_alt 'P -1'
_space_group_IT_number 2
_cell_length_a 6.186
_cell_length_b 7.977
_cell_length_c 8.013
_cell_angle_alpha 107.41
_cell_angle_beta 104.74
_cell_angle_gamma 97.32
loop_
_space_group_symop_operation_xyz
'x,y,z'
'-x,-y,-z'
loop_
_atom_site_label
_atom_site_fract_x
_atom_site_fract_y
_atom_site_fract_z
_atom_site_occupancy
Pm1 0.000 0.000 0.000 1
Pm2 0.364 0.274 0.454 1
Dy1 0.182 0.636 0.729 1
Dy2 0.274 0.455 0.090 1
Dy3 0.455 0.092 0.820 1
Y1 0.091 0.817 0.363 1
```

=====

# 12
Simulated powder diffraction line list of LiTcP for copper Kα, from DFT lattice parameters and positions (PBE).
Kinematic intensities with the Lorentz-polarization factor, no thermal factor.

Main lines, in order of rising 2θ (10 to 80 degrees two-theta):
- hkl 0 1 1, 5.425 Å, rel. 100.0
- hkl 0 0 2, 3.892 Å, rel. 34.6
- hkl 1 0 1, 2.836 Å, rel. 57.7
- hkl 0 3 1, 2.399 Å, rel. 40.6
- hkl 1 1 2, 2.286 Å, rel. 27.3
- hkl 1 0 3, 1.975 Å, rel. 31.2
- hkl 0 0 4, 1.944 Å, rel. 30.1
- hkl 1 3 2, 1.738 Å, rel. 31.4

Cell and atoms:
```
data_LiTcP
_space_group_name_H-M_alt 'I m m 2'
_space_group_IT_number 44
_cell_length_a 3.045
_cell_length_b 7.565
_cell_length_c 7.784
_cell_angle_alpha 90.00
_cell_angle_beta 90.00
_cell_angle_gamma 90.00
loop_
_space_group_symop_operation_xyz
'x,y,z'
'-x,-y,z'
'-x,y,z'
'x,-y,z'
'x+1/2,y+1/2,z+1/2'
'-x+1/2,-y+1/2,z+1/2'
'-x+1/2,y+1/2,z+1/2'
'x+1/2,-y+1/2,z+1/2'
loop_
_atom_site_label
_atom_site_fract_x
_atom_site_fract_y
_atom_site_fract_z
_atom_site_occupancy
Li1 0.000 0.000 0.000 1
Li2 0.000 0.500 0.156 1
Tc1 0.000 0.153 0.374 1
P1 0.000 0.271 0.658 1
```